Entry 1:
Starting from a cell relaxed with GGA-PBE, the powder XRD pattern of La3Sn7 was simulated for Cu Kα (weighted mean of Kα1 and Kα2).
No peak broadening, texture or thermal motion is included.

Top 10 peaks for 2θ from 15° to 90°, by intensity:
2theta	intensity
31.98	100.0
38.03	17.2
38.89	16.1
34.24	16.1
64.94	13.5
66.11	12.8
55.52	11.6
52.09	10.6
66.87	9.6
52.77	9.6

Structural model:
a b c (Å): 13.299 13.299 4.733
angles (deg): 90.00 90.00 159.94
Positions (direct):
La (0.000, 0.000, 0.000)
La (0.185, 0.815, 0.000)
La (0.815, 0.185, 0.000)
Sn (0.096, 0.904, 0.500)
Sn (0.288, 0.712, 0.500)
Sn (0.405, 0.595, 0.000)
Sn (0.500, 0.500, 0.500)
Sn (0.595, 0.405, 0.000)
Sn (0.712, 0.288, 0.500)
Sn (0.904, 0.096, 0.500)

Entry 2:
Starting from a cell relaxed with GGA-PBE, the powder XRD pattern of La5Sn3 was simulated for Cu Kα (weighted mean of Kα1 and Kα2).
No peak broadening, texture or thermal motion is included.

Top 10 peaks for 2θ from 15° to 90°, by intensity:
2theta	intensity
31.33	100.0
31.85	87.6
32.42	52.8
28.50	29.5
48.93	29.1
63.28	22.1
46.08	22.0
25.66	19.3
27.86	16.8
62.06	16.4

Structural model:
a b c (Å): 9.567 9.567 6.945
angles (deg): 90.00 90.00 120.00
Positions (direct):
La (0.000, 0.249, 0.250)
La (0.000, 0.751, 0.750)
La (0.249, 0.000, 0.250)
La (0.249, 0.249, 0.750)
La (0.333, 0.667, 0.000)
La (0.333, 0.667, 0.500)
La (0.667, 0.333, 0.000)
La (0.667, 0.333, 0.500)
La (0.751, 0.000, 0.750)
La (0.751, 0.751, 0.250)
Sn (0.000, 0.390, 0.750)
Sn (0.000, 0.610, 0.250)
Sn (0.390, 0.000, 0.750)
Sn (0.390, 0.390, 0.250)
Sn (0.610, 0.000, 0.250)
Sn (0.610, 0.610, 0.750)

Entry 3:
Starting from a cell relaxed with GGA-PBE, the powder XRD pattern of La3Sn5 was simulated for Cu Kα (weighted mean of Kα1 and Kα2).
No peak broadening, texture or thermal motion is included.

Top 10 peaks for 2θ from 15° to 90°, by intensity:
2theta	intensity
32.02	100.0
33.43	40.1
33.12	36.9
32.43	31.6
37.59	28.6
37.24	27.8
28.47	27.3
34.29	26.7
54.77	20.6
63.90	17.5

Structural model:
a b c (Å): 6.709 6.709 10.723
angles (deg): 90.00 90.00 77.53
Positions (direct):
La (0.136, 0.864, 0.750)
La (0.298, 0.298, 0.000)
La (0.298, 0.298, 0.500)
La (0.702, 0.702, 0.000)
La (0.702, 0.702, 0.500)
La (0.864, 0.136, 0.250)
Sn (0.006, 0.576, 0.250)
Sn (0.181, 0.819, 0.049)
Sn (0.181, 0.819, 0.451)
Sn (0.424, 0.994, 0.250)
Sn (0.474, 0.526, 0.250)
Sn (0.526, 0.474, 0.750)
Sn (0.576, 0.006, 0.750)
Sn (0.819, 0.181, 0.549)
Sn (0.819, 0.181, 0.951)
Sn (0.994, 0.424, 0.750)